Simulated powder XRD pattern
Compound: UTcO3
Radiation: Cu Kα
Structure: a GGA-PBE-relaxed structure

Cell and atoms:
```
data_UTcO3
_chemical_formula_sum 'U1 Tc1 O3'
_symmetry_space_group_name_H-M 'P m -3 m'
_symmetry_Int_Tables_number 221
_symmetry_space_group_name_Hall '-P 4 2 3'
_cell_length_a 3.967
_cell_length_b 3.967
_cell_length_c 3.967
_cell_angle_alpha 90.00
_cell_angle_beta 90.00
_cell_angle_gamma 90.00
loop_
_atom_site_label
_atom_site_type_symbol
_atom_site_fract_x
_atom_site_fract_y
_atom_site_fract_z
U1 U 0.000 0.000 0.000
Tc1 Tc 0.500 0.500 0.500
O1 O 0.000 0.500 0.500
```

Most intense lines, 2θ = 10–90°, in order of rising 2θ:
| hkl | d [Å] | 2θ/deg | I/Imax |
| --- | --- | --- | --- |
| 1 0 0 | 3.967 | 22.41 | 13 |
| 1 1 0 | 2.805 | 31.90 | 100 |
| 1 1 1 | 2.290 | 39.34 | 12 |
| 2 0 0 | 1.984 | 45.74 | 27 |
| 2 1 0 | 1.774 | 51.51 | 7 |
| 2 1 1 | 1.620 | 56.85 | 40 |
| 2 2 0 | 1.403 | 66.68 | 17 |
| 3 1 0 | 1.255 | 75.83 | 18 |
| 3 1 1 | 1.196 | 80.26 | 5 |
| 2 2 2 | 1.145 | 84.62 | 6 |